# 1
Theoretical powder diffractogram of DyEr2Cu4Si2Ge2 for Cu Kα X-rays, from the PBE geometry in OQMD.
Intensities are scaled so that the largest is 100.

Cell and atoms:
Lattice parameters (Å, degrees): 7.905 7.905 7.905 149.57 130.78 58.98
Fractional coordinates of all 11 atoms:
Dy  0.000  0.000  0.000
Er  0.371  0.871  0.500
Er  0.629  0.129  0.500
Cu  0.027  0.336  0.691
Cu  0.355  0.664  0.691
Cu  0.645  0.336  0.309
Cu  0.973  0.664  0.309
Si  0.317  0.500  0.817
Si  0.683  0.500  0.183
Ge  0.217  0.217  0.000
Ge  0.783  0.783  0.000

The 8 most intense peaks (10° ≤ 2θ ≤ 80°), in order of rising 2θ:
d = 3.973 Å, 2θ 22.38, I 16; d = 3.292 Å, 2θ 27.09, I 18; d = 2.536 Å, 2θ 35.39, I 100; d = 2.457 Å, 2θ 36.57, I 92; d = 2.248 Å, 2θ 40.11, I 19; d = 2.075 Å, 2θ 43.63, I 29; d = 1.980 Å, 2θ 45.84, I 21; d = 1.607 Å, 2θ 57.35, I 15

---

# 2
Theoretical powder diffractogram of Dy2ErCu4Sn2Ge2 for Cu Kα X-rays, from the PBE geometry in OQMD.
Intensities are scaled so that the largest is 100.

Cell and atoms:
Lattice parameters (Å, degrees): 8.208 8.208 8.208 149.73 130.37 59.25
Fractional coordinates of all 11 atoms:
Dy  0.135  0.135  0.000
Dy  0.865  0.865  0.000
Er  0.500  0.000  0.500
Cu  0.134  0.323  0.812
Cu  0.489  0.677  0.812
Cu  0.511  0.323  0.188
Cu  0.866  0.677  0.188
Sn  0.203  0.500  0.703
Sn  0.797  0.500  0.297
Ge  0.284  0.784  0.500
Ge  0.716  0.216  0.500

The 8 most intense peaks (10° ≤ 2θ ≤ 80°), in order of rising 2θ:
d = 3.242 Å, 2θ 27.51, I 12; d = 2.639 Å, 2θ 33.98, I 100; d = 2.548 Å, 2θ 35.23, I 69; d = 2.378 Å, 2θ 37.84, I 23; d = 2.143 Å, 2θ 42.17, I 31; d = 2.068 Å, 2θ 43.77, I 26; d = 1.956 Å, 2θ 46.43, I 23; d = 1.488 Å, 2θ 62.40, I 19

---

# 3
Theoretical powder diffractogram of Dy2ErCu4Sn4 for Cu Kα X-rays, from the PBE geometry in OQMD.
Intensities are scaled so that the largest is 100.

Cell and atoms:
Lattice parameters (Å, degrees): 8.430 8.430 8.430 149.31 131.40 58.59
Fractional coordinates of all 11 atoms:
Dy  0.131  0.131  0.000
Dy  0.869  0.869  0.000
Er  0.500  0.000  0.500
Cu  0.141  0.329  0.812
Cu  0.482  0.671  0.812
Cu  0.518  0.329  0.188
Cu  0.859  0.671  0.188
Sn  0.203  0.500  0.703
Sn  0.284  0.784  0.500
Sn  0.716  0.216  0.500
Sn  0.797  0.500  0.297

The 8 most intense peaks (10° ≤ 2θ ≤ 80°), in order of rising 2θ:
d = 2.708 Å, 2θ 33.08, I 29; d = 2.692 Å, 2θ 33.28, I 100; d = 2.626 Å, 2θ 34.14, I 99; d = 2.451 Å, 2θ 36.66, I 20; d = 2.231 Å, 2θ 40.43, I 43; d = 2.092 Å, 2θ 43.25, I 23; d = 2.004 Å, 2θ 45.25, I 24; d = 1.369 Å, 2θ 68.53, I 21